For AcScMoO6, a PBE+U-relaxed structure gives the simulated powder diffraction line list in this record (λ = 1.5418 Å (Cu Kα)).
Lines closer than 0.1° are merged.

Structural model:
```
AcScMoO6
1.0
5.386 0.000 0.000
-2.693 4.664 0.000
0.000 0.000 5.316
Ac Sc Mo O
1 1 1 6
Direct
0.000 0.000 0.000
0.333 0.667 0.500
0.667 0.333 0.500
0.384 0.022 0.708
0.384 0.362 0.292
0.638 0.022 0.292
0.638 0.616 0.708
0.978 0.362 0.708
0.978 0.616 0.292
```

Largest 6 diffraction maxima, low angle first, 10° ≤ 2θ ≤ 90°:
d/Å	2θ/deg	Rel. int.	(hkl)
4.664	19.0	22	1 0 0
3.506	25.4	100	1 0 1
2.693	33.3	28	1 1 0
2.136	42.3	24	2 0 1
1.892	48.1	32	2 -1 2
1.673	54.9	24	3 -1 1